# RbNdPaS4
Computed powder diffraction line list, Cu Kα (weighted mean of Kα1 and Kα2). Input: a DFT-relaxed cell (GGA-PBE, Alexandria).

Most intense lines, 15° ≤ 2θ ≤ 90°, low angle first:
- hkl 0 1 3, 24.1°, I = 99
- hkl 1 0 3, 24.3°, I = 27
- hkl 2 1 1, 24.5°, I = 100
- hkl 0 2 2, 25.1°, I = 39
- hkl 2 0 2, 25.6°, I = 32
- hkl 0 0 4, 29.3°, I = 33
- hkl 2 2 0, 29.4°, I = 66
- hkl 0 1 5, 38.3°, I = 77
- hkl 3 2 1, 38.8°, I = 24
- hkl 0 4 0, 41.3°, I = 24
- hkl 2 2 4, 42.0°, I = 94
- hkl 2 0 6, 49.7°, I = 24

Structural model:
```
data_RbNdPaS4
_chemical_formula_sum 'Rb4 Nd4 Pa4 S16'
_space_group_name_H-M_alt 'I m m a'
_space_group_IT_number 74
_space_group_name_Hall '-I 2b 2'
_cell_length_a 8.4494
_cell_length_b 8.7351
_cell_length_c 12.2108
_cell_angle_alpha 90.00
_cell_angle_beta 90.00
_cell_angle_gamma 90.00
loop_
_atom_site_label
_atom_site_type_symbol
_atom_site_fract_x
_atom_site_fract_y
_atom_site_fract_z
Rb1 Rb 0.0000 0.2500 0.1294
Nd1 Nd 0.0000 0.0000 0.5000
Pa1 Pa 0.2500 0.2500 0.7500
S1 S 0.0000 0.0486 0.7338
S2 S 0.2168 0.2500 0.5288
```